# 1
# La6TlAu2
Theoretical powder XRD pattern, Cu Kα. Input: a DFT-relaxed cell (PBE, Alexandria).
No peak broadening, texture or thermal motion is included.

Principal peaks in the range 10° ≤ 2θ ≤ 80°, most intense first:
d 2.843, 31.46°, rel. 1000; d 3.034, 29.44°, rel. 840; d 2.773, 32.29°, rel. 747; d 2.871, 31.15°, rel. 699; d 2.487, 36.12°, rel. 424; d 1.652, 55.62°, rel. 398; d 2.478, 36.25°, rel. 361; d 2.719, 32.94°, rel. 293; d 1.750, 52.26°, rel. 272; d 4.974, 17.83°, rel. 269

Crystal structure
```
18
Lattice="-4.9737 5.2487 5.5983 4.9737 -5.2487 5.5983 4.9737 5.2487 -5.5983" Properties=species:S:1:pos:R:3 pbc="T T T"
La 4.9737 3.2004 -2.8981
La 2.8242 1.9136 0.0000
La 7.1232 1.9136 0.0000
La 2.0198 5.2487 -1.9364
La 2.9539 0.0000 3.6619
La 0.0000 2.0483 2.7001
La 4.9737 3.2004 2.8981
La 2.0198 5.2487 1.9364
La 2.9539 0.0000 7.5346
La -2.1495 3.3351 5.5983
La 2.1495 3.3351 5.5983
La 0.0000 2.0483 8.4964
Tl 0.0000 0.0000 0.0000
Tl 0.0000 0.0000 5.5983
Au 4.9737 0.0000 1.4531
Au 0.0000 3.6326 0.0000
Au 0.0000 6.8648 0.0000
Au 0.0000 5.2487 4.1452
```

# 2
# Sr3Cu4Rh2
Theoretical powder XRD pattern, Cu Kα. Input: a DFT-relaxed cell (PBE, Alexandria).
No peak broadening, texture or thermal motion is included.

Principal peaks in the range 10° ≤ 2θ ≤ 80°, most intense first:
d 2.717, 32.97°, rel. 1000; d 2.669, 33.57°, rel. 540; d 2.755, 32.50°, rel. 540; d 2.092, 43.25°, rel. 534; d 2.247, 40.14°, rel. 458; d 1.976, 45.92°, rel. 441; d 2.304, 39.09°, rel. 427; d 5.120, 17.32°, rel. 376; d 2.907, 30.76°, rel. 361; d 2.645, 33.89°, rel. 360

Crystal structure
```
9
Lattice="5.4924 -2.0919 0.0000 5.4924 2.0919 0.0000 -3.3845 0.0000 8.7214" Properties=species:S:1:pos:R:3 pbc="T T T"
Sr 0.0000 0.0000 0.0000
Sr 3.2158 0.0000 2.6767
Sr 4.3846 0.0000 6.0447
Cu 0.4070 0.0000 3.8198
Cu -0.2124 0.0000 8.2439
Cu 7.8129 0.0000 0.4775
Cu 7.1934 0.0000 4.9016
Rh 1.2719 0.0000 6.2505
Rh 6.3285 0.0000 2.4709
```

# 3
# Ac2Pr4Hg3N2
Theoretical powder XRD pattern, Cu Kα. Input: a DFT-relaxed cell (PBE, Alexandria).
No peak broadening, texture or thermal motion is included.

Principal peaks in the range 10° ≤ 2θ ≤ 80°, most intense first:
d 2.718, 32.95°, rel. 1000; d 2.522, 35.60°, rel. 690; d 3.432, 25.96°, rel. 425; d 2.930, 30.51°, rel. 342; d 1.491, 62.26°, rel. 329; d 1.783, 51.23°, rel. 319; d 1.911, 47.57°, rel. 206; d 3.567, 24.96°, rel. 142; d 4.946, 17.93°, rel. 127; d 1.969, 46.11°, rel. 115

Crystal structure
```
11
Lattice="-2.5223 2.5223 12.5955 2.5223 -2.5223 12.5955 2.5223 2.5223 -12.5955" Properties=species:S:1:pos:R:3 pbc="T T T"
Ac 0.0000 0.0000 4.9736
Ac 0.0000 0.0000 20.2174
Pr 2.5223 0.0000 2.0780
Pr 2.5223 0.0000 10.5175
Pr 0.0000 2.5223 2.0780
Pr 0.0000 2.5223 10.5175
Hg 0.0000 0.0000 8.3496
Hg 0.0000 0.0000 12.5955
Hg 0.0000 0.0000 16.8414
N 0.0000 0.0000 2.5920
N 0.0000 0.0000 22.5989
```

# 4
# Nb6NiOs
Theoretical powder XRD pattern, Cu Kα. Input: a DFT-relaxed cell (PBE, Alexandria).
No peak broadening, texture or thermal motion is included.

Principal peaks in the range 10° ≤ 2θ ≤ 80°, most intense first:
d 2.283, 39.47°, rel. 1000; d 2.304, 39.09°, rel. 516; d 1.326, 71.08°, rel. 340; d 1.629, 56.47°, rel. 173; d 1.314, 71.84°, rel. 162; d 4.336, 20.48°, rel. 112; d 1.600, 57.62°, rel. 80; d 3.131, 28.51°, rel. 51; d 2.035, 44.52°, rel. 32; d 6.399, 13.84°, rel. 27

Crystal structure
```
16
Lattice="4.6088 0.0000 0.0000 0.0000 4.6088 0.0000 0.0000 0.0000 12.7975" Properties=species:S:1:pos:R:3 pbc="T T T"
Nb 0.0000 0.0000 3.1992
Nb 0.0000 0.0000 9.5983
Nb 0.0000 2.3044 1.5477
Nb 0.0000 2.3044 4.8510
Nb 0.0000 2.3044 7.9465
Nb 0.0000 2.3044 11.2497
Nb 2.3044 0.0000 1.5477
Nb 2.3044 0.0000 4.8510
Nb 2.3044 0.0000 7.9465
Nb 2.3044 0.0000 11.2497
Nb 2.3044 2.3044 3.1996
Nb 2.3044 2.3044 9.5979
Ni 0.0000 0.0000 0.0000
Ni 2.3044 2.3044 6.3987
Os 0.0000 0.0000 6.3987
Os 2.3044 2.3044 0.0000
```

# 5
# CaLa12Sm5
Theoretical powder XRD pattern, Cu Kα. Input: a DFT-relaxed cell (PBE, Alexandria).
No peak broadening, texture or thermal motion is included.

Principal peaks in the range 10° ≤ 2θ ≤ 80°, most intense first:
d 3.032, 29.46°, rel. 1000; d 2.620, 34.22°, rel. 446; d 3.036, 29.42°, rel. 335; d 1.860, 48.98°, rel. 323; d 2.640, 33.96°, rel. 229; d 1.582, 58.33°, rel. 191; d 1.580, 58.39°, rel. 188; d 1.853, 49.17°, rel. 158; d 1.206, 79.43°, rel. 152; d 1.589, 58.03°, rel. 147

Crystal structure
```
18
Lattice="9.6434 -5.5536 0.0000 9.6434 5.5536 0.0000 -2.1194 0.0000 6.0920" Properties=species:S:1:pos:R:3 pbc="T T T"
Ca 0.0000 0.0000 0.0000
La 4.9688 3.6423 4.0329
La 6.0972 1.8924 0.9964
La 8.5838 3.6113 3.0460
La 9.6434 1.8021 0.0000
La 12.1987 3.6423 2.0592
La 11.0703 1.8924 5.0957
La 6.0972 -1.8924 0.9964
La 4.9688 -3.6423 4.0329
La 9.6434 -1.8021 0.0000
La 8.5838 -3.6113 3.0460
La 11.0703 -1.8924 5.0957
La 12.1987 -3.6423 2.0592
Sm 1.5114 0.0000 5.0369
Sm 5.0298 0.0000 4.0348
Sm 8.5838 0.0000 3.0460
Sm 12.1377 0.0000 2.0572
Sm 15.6561 0.0000 1.0552
```

# 6
# AcPrPdPb
Theoretical powder XRD pattern, Cu Kα. Input: a DFT-relaxed cell (PBE, Alexandria).
No peak broadening, texture or thermal motion is included.

Principal peaks in the range 10° ≤ 2θ ≤ 80°, most intense first:
d 2.773, 32.29°, rel. 1000; d 1.601, 57.58°, rel. 392; d 1.960, 46.31°, rel. 186; d 1.240, 76.89°, rel. 170; d 1.386, 67.58°, rel. 122; d 4.527, 19.61°, rel. 70; d 2.364, 38.06°, rel. 44; d 1.799, 50.75°, rel. 21; d 1.326, 71.13°, rel. 16; d 1.509, 61.44°, rel. 16

Crystal structure
```
16
Lattice="7.8418 0.0000 0.0000 0.0000 7.8418 0.0000 0.0000 0.0000 7.8418" Properties=species:S:1:pos:R:3 pbc="T T T"
Ac 0.0000 0.0000 0.0000
Ac 0.0000 3.9209 3.9209
Ac 3.9209 0.0000 3.9209
Ac 3.9209 3.9209 0.0000
Pr 0.0000 0.0000 3.9209
Pr 0.0000 3.9209 0.0000
Pr 3.9209 0.0000 0.0000
Pr 3.9209 3.9209 3.9209
Pd 1.9605 1.9605 5.8814
Pd 1.9605 5.8814 1.9605
Pd 5.8814 1.9605 1.9605
Pd 5.8814 5.8814 5.8814
Pb 1.9605 1.9605 1.9605
Pb 1.9605 5.8814 5.8814
Pb 5.8814 1.9605 5.8814
Pb 5.8814 5.8814 1.9605
```

# 7
# Tb6Se8Br
Theoretical powder XRD pattern, Cu Kα. Input: a DFT-relaxed cell (PBE, Alexandria).
No peak broadening, texture or thermal motion is included.

Principal peaks in the range 10° ≤ 2θ ≤ 80°, most intense first:
d 2.773, 32.28°, rel. 1000; d 2.340, 38.47°, rel. 813; d 3.685, 24.15°, rel. 628; d 3.866, 23.01°, rel. 521; d 2.107, 42.92°, rel. 437; d 3.187, 28.00°, rel. 352; d 1.975, 45.95°, rel. 280; d 2.704, 33.13°, rel. 273; d 2.128, 42.49°, rel. 264; d 1.287, 73.57°, rel. 184

Crystal structure
```
15
Lattice="11.2586 0.0000 0.0000 -5.6293 9.7502 0.0000 0.0000 0.0000 4.2110" Properties=species:S:1:pos:R:3 pbc="T T T"
Tb -2.2058 6.5232 1.0414
Tb 1.0830 4.5783 1.0414
Tb 4.5064 1.3513 3.1696
Tb 1.1229 8.3989 1.0414
Tb 4.5463 5.1719 3.1696
Tb 7.8351 3.2270 3.1696
Se -1.6006 3.6968 1.0663
Se -1.6275 9.2880 1.0663
Se 0.0000 6.5001 3.1525
Se 2.4012 3.2346 3.1446
Se 3.2281 6.5156 1.0663
Se 5.6293 3.2501 1.0585
Se 7.2568 0.4622 3.1446
Se 7.2299 6.0534 3.1446
Br 0.0000 0.0000 0.0000
```

# 8
# Tb12Nd2Pu
Theoretical powder XRD pattern, Cu Kα. Input: a DFT-relaxed cell (PBE, Alexandria).
No peak broadening, texture or thermal motion is included.

Principal peaks in the range 10° ≤ 2θ ≤ 80°, most intense first:
d 2.814, 31.80°, rel. 1000; d 2.969, 30.10°, rel. 905; d 2.871, 31.15°, rel. 776; d 2.759, 32.45°, rel. 703; d 2.687, 33.35°, rel. 611; d 2.954, 30.26°, rel. 594; d 2.775, 32.26°, rel. 504; d 1.976, 45.93°, rel. 381; d 1.502, 61.78°, rel. 300; d 1.776, 51.47°, rel. 260

Crystal structure
```
30
Lattice="3.5512 -5.6275 0.0000 3.5512 5.6275 0.0000 -1.8298 0.0000 24.4619" Properties=species:S:1:pos:R:3 pbc="T T T"
Tb 1.7471 2.8126 4.8715
Tb 1.7446 2.8223 8.0702
Tb 1.7458 2.8291 13.5816
Tb -0.0188 0.0000 13.9841
Tb -0.0224 0.0000 21.1984
Tb 1.7533 2.8139 22.7026
Tb 3.5194 2.8139 1.7593
Tb 1.7432 0.0000 3.2585
Tb 1.7607 0.0000 10.4319
Tb 3.5269 2.8291 10.8803
Tb 3.5280 2.8223 16.3916
Tb 3.5256 2.8126 19.5904
Tb 1.7471 -2.8126 4.8715
Tb 1.7446 -2.8223 8.0702
Tb 1.7458 -2.8291 13.5816
Tb 3.5119 0.0000 14.0300
Tb 3.5295 0.0000 21.2034
Tb 1.7533 -2.8139 22.7026
Tb 3.5194 -2.8139 1.7593
Tb 5.2950 0.0000 3.2635
Tb 5.2914 0.0000 10.4777
Tb 3.5269 -2.8291 10.8803
Tb 3.5280 -2.8223 16.3916
Tb 3.5256 -2.8126 19.5904
Nd -0.0235 0.0000 6.6499
Nd 1.7568 0.0000 17.8210
Nd 3.5158 0.0000 6.6409
Nd 5.2961 0.0000 17.8119
Pu -0.0534 0.0000 24.4596
Pu 5.3260 0.0000 0.0023
```

# 9
# RbIn8Au2
Theoretical powder XRD pattern, Cu Kα. Input: a DFT-relaxed cell (PBE, Alexandria).
No peak broadening, texture or thermal motion is included.

Principal peaks in the range 10° ≤ 2θ ≤ 80°, most intense first:
d 2.696, 33.23°, rel. 1000; d 2.309, 39.00°, rel. 797; d 4.124, 21.55°, rel. 572; d 2.263, 39.84°, rel. 514; d 1.376, 68.16°, rel. 269; d 1.315, 71.77°, rel. 258; d 2.207, 40.89°, rel. 236; d 2.685, 33.37°, rel. 194; d 1.600, 57.61°, rel. 171; d 1.984, 45.74°, rel. 163

Crystal structure
```
11
Lattice="6.4003 0.0000 0.0000 0.0000 6.4003 0.0000 0.0000 0.0000 10.0075" Properties=species:S:1:pos:R:3 pbc="T T T"
Rb 0.0000 0.0000 0.0000
In 1.6080 1.6080 3.1910
In 1.6080 1.6080 6.8165
In 1.6080 4.7923 3.1910
In 1.6080 4.7923 6.8165
In 4.7923 1.6080 3.1910
In 4.7923 1.6080 6.8165
In 4.7923 4.7923 3.1910
In 4.7923 4.7923 6.8165
Au 0.0000 3.2001 5.0037
Au 3.2001 0.0000 5.0037
```

# 10
# Hg4P2O7
Theoretical powder XRD pattern, Cu Kα. Input: a DFT-relaxed cell (PBE, Alexandria).
No peak broadening, texture or thermal motion is included.

Principal peaks in the range 10° ≤ 2θ ≤ 80°, most intense first:
d 3.134, 28.48°, rel. 1000; d 5.047, 17.57°, rel. 520; d 2.383, 37.75°, rel. 410; d 2.962, 30.17°, rel. 343; d 3.382, 26.35°, rel. 323; d 6.208, 14.27°, rel. 316; d 2.206, 40.91°, rel. 314; d 3.916, 22.71°, rel. 267; d 2.664, 33.65°, rel. 249; d 3.658, 24.33°, rel. 228

Crystal structure
```
26
Lattice="9.5417 0.0000 0.0000 0.0000 5.0468 0.0000 -7.9703 0.0000 9.5211" Properties=species:S:1:pos:R:3 pbc="T T T"
Hg -2.4618 0.3203 3.5971
Hg -6.4470 4.7265 8.3577
Hg -3.1251 0.9008 8.5993
Hg 0.8600 4.1460 3.8388
Hg 0.7113 0.9008 5.6823
Hg 4.6965 4.1460 0.9218
Hg 8.0183 0.3203 1.1634
Hg 4.0331 4.7265 5.9239
P 1.6618 2.0066 1.3864
P -2.3234 3.0401 6.1470
P 3.8948 2.0066 3.3741
P -0.0904 3.0401 8.1346
O 0.9613 0.7855 0.7533
O -3.0239 4.2613 5.5139
O -3.3785 2.3387 7.0278
O 0.6066 2.7080 2.2673
O -1.5637 2.1513 5.1708
O 2.4215 2.8955 0.4103
O 2.7783 1.3218 2.3803
O -1.2069 3.7250 7.1408
O -0.8501 2.1513 9.1108
O 3.1350 2.8955 4.3503
O 0.9647 2.3387 7.2538
O 4.9499 2.7080 2.4932
O 4.5952 0.7855 4.0072
O 0.6101 4.2613 8.7678
```

# 11
# PrTh3Ir8
Theoretical powder XRD pattern, Cu Kα. Input: a DFT-relaxed cell (PBE, Alexandria).
No peak broadening, texture or thermal motion is included.

Principal peaks in the range 10° ≤ 2θ ≤ 80°, most intense first:
d 2.326, 38.71°, rel. 1000; d 2.227, 40.50°, rel. 381; d 1.485, 62.56°, rel. 333; d 2.728, 32.83°, rel. 288; d 1.364, 68.84°, rel. 287; d 1.575, 58.62°, rel. 113; d 1.220, 78.39°, rel. 49; d 1.929, 47.12°, rel. 40; d 4.454, 19.93°, rel. 37; d 1.770, 51.64°, rel. 9

Crystal structure
```
12
Lattice="2.7277 1.5749 8.9081 -2.7277 1.5749 8.9081 0.0000 -3.1497 8.9081" Properties=species:S:1:pos:R:3 pbc="T T T"
Pr 0.0000 0.0000 0.0000
Th 0.0000 0.0000 3.3214
Th 0.0000 0.0000 13.4168
Th 0.0000 0.0000 16.7723
Ir 0.0000 -1.5668 6.1282
Ir -1.3569 0.7834 6.1282
Ir -1.3545 -0.7820 10.6195
Ir 0.0000 0.0000 8.3767
Ir 1.3569 0.7834 6.1282
Ir 1.3545 -0.7820 10.6195
Ir 0.0000 1.5641 10.6195
Ir 0.0000 0.0000 21.7352
```

# 12
# MgNbAg
Theoretical powder XRD pattern, Cu Kα. Input: a DFT-relaxed cell (PBE, Alexandria).
No peak broadening, texture or thermal motion is included.

Principal peaks in the range 10° ≤ 2θ ≤ 80°, most intense first:
d 2.333, 38.59°, rel. 1000; d 2.515, 35.70°, rel. 308; d 3.855, 23.07°, rel. 235; d 2.242, 40.22°, rel. 223; d 1.414, 66.06°, rel. 186; d 1.674, 54.85°, rel. 171; d 1.311, 72.01°, rel. 148; d 3.180, 28.06°, rel. 113; d 1.366, 68.73°, rel. 84; d 1.626, 56.59°, rel. 79

Crystal structure
```
6
Lattice="3.2529 0.0000 0.0000 0.0000 4.4847 0.0000 -1.6161 0.0000 7.5457" Properties=species:S:1:pos:R:3 pbc="T T T"
Mg 0.0029 1.1212 1.2010
Mg 1.6339 3.3635 6.3447
Nb 0.0054 3.3635 3.6986
Nb 1.6314 1.1212 3.8471
Ag 0.0076 1.1212 6.2904
Ag 1.6292 3.3635 1.2553
```